[1]
Re2PtC12O12: calculated powder diffraction line list (Cu Kα X-rays), based on a PBE-relaxed structure.
Neutral-atom scattering factors, no anomalous dispersion.

Peak list (10 most intense, 2θ = 5–70°, most intense first)
| Position (°2θ) | d [Å] | Rel. int. | index |
| --- | --- | --- | --- |
| 12.84 | 6.897 | 100 | 0 1 0 |
| 15.85 | 5.590 | 98 | 1 0 1 |
| 18.43 | 4.815 | 79 | 1 1 1 |
| 13.23 | 6.693 | 70 | 0 1 1 |
| 31.99 | 2.798 | 55 | 1 0 -3 |
| 18.82 | 4.715 | 51 | 1 -1 0 |
| 13.58 | 6.518 | 33 | 1 0 0 |
| 29.25 | 3.053 | 31 | 1 2 2 |
| 32.48 | 2.757 | 31 | 2 -1 1 |
| 24.52 | 3.630 | 30 | 0 2 1 |

Structural model:
```
data_Re2PtC12O12
_symmetry_space_group_name_H-M 'P -1'
_symmetry_Int_Tables_number 2
_symmetry_space_group_name_Hall '-P 1'
_cell_length_a 6.5397
_cell_length_b 7.2717
_cell_length_c 10.1726
_cell_angle_alpha 71.54
_cell_angle_beta 85.41
_cell_angle_gamma 88.06
loop_
_atom_site_label
_atom_site_fract_x
_atom_site_fract_y
_atom_site_fract_z
_atom_site_occupancy
Re1 0.2129 0.1143 0.2306 1
Pt1 0.0000 0.0000 0.5000 1
C1 0.0393 0.7325 0.8369 1
C2 0.0897 0.8863 0.1989 1
C3 0.1075 0.7437 0.5361 1
C4 0.3178 0.3324 0.2888 1
C5 0.3611 0.1991 0.0492 1
C6 0.4450 0.9450 0.3186 1
O1 0.0185 0.7554 0.1777 1
O2 0.1715 0.5867 0.5600 1
O3 0.1858 0.6452 0.8780 1
O4 0.3789 0.4584 0.3208 1
O5 0.4187 0.1514 0.6317 1
O6 0.4541 0.2519 0.9415 1
```

[2]
Rb4CO6: calculated powder diffraction line list (Cu Kα X-rays), based on a PBE-relaxed structure.
Neutral-atom scattering factors, no anomalous dispersion.

Peak list (10 most intense, 2θ = 5–70°, most intense first)
| Position (°2θ) | d [Å] | Rel. int. | index |
| --- | --- | --- | --- |
| 25.95 | 3.433 | 100 | 0 2 0 |
| 22.48 | 3.955 | 66 | 1 0 -1 |
| 23.28 | 3.821 | 58 | 1 -1 1 |
| 31.70 | 2.822 | 50 | -1 2 1 |
| 30.79 | 2.904 | 49 | 1 2 0 |
| 15.90 | 5.574 | 47 | 0 1 1 |
| 15.50 | 5.715 | 44 | 1 0 0 |
| 20.25 | 4.384 | 43 | 1 1 1 |
| 31.56 | 2.834 | 38 | 0 1 -2 |
| 33.57 | 2.669 | 36 | 2 -1 0 |

Structural model:
```
data_Rb4CO6
_symmetry_space_group_name_H-M 'P 1'
_symmetry_Int_Tables_number 1
_symmetry_space_group_name_Hall 'P 1'
_cell_length_a 5.8982
_cell_length_b 7.0717
_cell_length_c 7.3429
_cell_angle_alpha 76.45
_cell_angle_beta 75.82
_cell_angle_gamma 88.46
loop_
_atom_site_label
_atom_site_fract_x
_atom_site_fract_y
_atom_site_fract_z
_atom_site_occupancy
Rb1 0.0000 0.0000 0.0000 1
Rb2 0.1399 0.4417 0.1500 1
Rb3 0.5519 0.0848 0.4019 1
Rb4 0.7597 0.5910 0.7167 1
C1 0.0109 0.9883 0.5689 1
O1 0.0771 0.0691 0.3834 1
O2 0.1430 0.8603 0.6506 1
O3 0.6353 0.5753 0.2190 1
O4 0.7597 0.6686 0.3019 1
O5 0.7629 0.3336 0.0434 1
O6 0.8132 0.0324 0.6733 1
```

[3]
Rb4CO4: calculated powder diffraction line list (Cu Kα X-rays), based on a PBE-relaxed structure.
Neutral-atom scattering factors, no anomalous dispersion.

Peak list (10 most intense, 2θ = 5–70°, most intense first)
| Position (°2θ) | d [Å] | Rel. int. | index |
| --- | --- | --- | --- |
| 28.77 | 3.103 | 100 | 0 2 1 |
| 31.23 | 2.864 | 72 | 2 0 2 |
| 20.66 | 4.300 | 36 | 0 0 3 |
| 31.95 | 2.801 | 35 | 1 1 3 |
| 49.38 | 1.846 | 28 | 2 2 0 |
| 31.06 | 2.879 | 23 | 1 0 4 |
| 37.60 | 2.392 | 19 | 0 1 5 |
| 54.07 | 1.696 | 19 | 2 2 3 |
| 39.70 | 2.270 | 16 | 0 2 4 |
| 39.84 | 2.263 | 15 | 1 2 2 |

Structural model:
```
data_Rb4CO4
_symmetry_space_group_name_H-M 'R 3 m'
_symmetry_Int_Tables_number 160
_symmetry_space_group_name_Hall 'R 3 -2"'
_cell_length_a 7.3826
_cell_length_b 7.3826
_cell_length_c 12.8992
_cell_angle_alpha 90.00
_cell_angle_beta 90.00
_cell_angle_gamma 120.00
loop_
_atom_site_label
_atom_site_fract_x
_atom_site_fract_y
_atom_site_fract_z
_atom_site_occupancy
Rb1 0.0000 0.0000 0.0000 1
Rb2 0.0090 0.5045 0.9016 1
C1 0.0000 0.0000 0.7759 1
O1 0.0000 0.0000 0.6676 1
O2 0.1069 0.2137 0.8139 1
```

[4]
Rb4CO4: calculated powder diffraction line list (Cu Kα X-rays), based on a PBE-relaxed structure.
Neutral-atom scattering factors, no anomalous dispersion.

Peak list (10 most intense, 2θ = 5–70°, most intense first)
| Position (°2θ) | d [Å] | Rel. int. | index |
| --- | --- | --- | --- |
| 23.16 | 3.841 | 100 | 0 2 1 |
| 32.28 | 2.774 | 64 | 2 2 -1 |
| 26.47 | 3.367 | 42 | 2 0 0 |
| 34.61 | 2.592 | 35 | 0 4 0 |
| 44.09 | 2.054 | 28 | 2 4 0 |
| 38.40 | 2.344 | 27 | 2 2 1 |
| 38.14 | 2.359 | 19 | 1 1 2 |
| 35.75 | 2.512 | 16 | 2 0 -2 |
| 31.98 | 2.799 | 15 | 1 1 -2 |
| 47.34 | 1.920 | 13 | 0 4 2 |

Structural model:
```
data_Rb4CO4
_symmetry_space_group_name_H-M 'C 1 m 1'
_symmetry_Int_Tables_number 8
_symmetry_space_group_name_Hall 'C -2y'
_cell_length_a 6.9554
_cell_length_b 10.3695
_cell_length_c 5.9065
_cell_angle_alpha 90.00
_cell_angle_beta 104.50
_cell_angle_gamma 90.00
loop_
_atom_site_label
_atom_site_fract_x
_atom_site_fract_y
_atom_site_fract_z
_atom_site_occupancy
Rb1 0.0000 0.0000 0.0000 1
Rb2 0.0232 0.5000 0.1889 1
Rb3 0.4811 0.2588 0.5565 1
C1 0.3340 0.0000 0.6925 1
O1 0.0430 0.5000 0.6937 1
O2 0.2145 0.0000 0.4553 1
O3 0.2899 0.1128 0.8129 1
```